# RbTlBr3
Calculated powder X-ray diffraction pattern, Cu Kα X-rays. Input: a cell relaxed with GGA-PBE.
Lines closer than 0.1° are merged.

Top 10 peaks for 10° ≤ 2θ ≤ 90°, by angle:
two_theta  intensity  h k l
15.23  84  0 1 2
21.60  93  1 0 4
25.38  31  1 1 3
30.73  100  0 2 4
34.47  58  1 1 6
37.88  76  3 0 0
44.02  55  2 0 8
46.84  28  1 0 10
59.44  38  3 2 4
68.41  31  0 5 4

Crystal structure
```
data_RbTlBr3
_chemical_formula_sum 'Rb6 Tl6 Br18'
_cell_length_a 8.2293
_cell_length_b 8.2293
_cell_length_c 20.1517
_cell_angle_alpha 90.00
_cell_angle_beta 90.00
_cell_angle_gamma 120.00
_symmetry_space_group_name_H-M 'R 3 c'
_symmetry_Int_Tables_number 161
_symmetry_space_group_name_Hall 'R 3 -2"c'
loop_
_atom_site_label
_atom_site_type_symbol
_atom_site_fract_x
_atom_site_fract_y
_atom_site_fract_z
Rb1 Rb 0.0000 0.0000 0.0000
Tl1 Tl 0.0000 0.0000 0.2690
Br1 Br 0.0056 0.4290 0.0235
```

=====

# RbTmBr3
Calculated powder X-ray diffraction pattern, Cu Kα X-rays. Input: a cell relaxed with GGA-PBE.
Lines closer than 0.1° are merged.

Top 10 peaks for 10° ≤ 2θ ≤ 90°, by angle:
two_theta  intensity  h k l
15.97  100  1 0 1
22.64  70  1 2 1
27.17  27  2 2 0
32.16  54  0 4 0
32.31  83  2 0 2
35.29  24  3 0 1
36.11  19  1 4 1
36.22  34  2 2 2
40.69  37  1 2 3
46.23  48  2 4 2

Crystal structure
```
data_RbTmBr3
_chemical_formula_sum 'Rb4 Tm4 Br12'
_cell_length_a 8.0981
_cell_length_b 11.1337
_cell_length_c 7.5977
_cell_angle_alpha 90.00
_cell_angle_beta 90.00
_cell_angle_gamma 90.00
_symmetry_space_group_name_H-M 'P n m a'
_symmetry_Int_Tables_number 62
loop_
_symmetry_equiv_pos_as_xyz
'x,y,z'
'-x,-y,-z'
'-x+1/2,-y,z+1/2'
'x+1/2,y,-z+1/2'
'x+1/2,-y+1/2,-z+1/2'
'-x+1/2,y+1/2,z+1/2'
'-x,y+1/2,-z'
'x,-y+1/2,z'
loop_
_atom_site_label
_atom_site_type_symbol
_atom_site_fract_x
_atom_site_fract_y
_atom_site_fract_z
Rb1 Rb 0.0647 0.2500 0.0288
Tm1 Tm 0.0000 0.0000 0.5000
Br1 Br 0.0110 0.7500 0.4216
Br2 Br 0.2112 0.5345 0.7937
```

=====

# Rb5Tm3Br12
Calculated powder X-ray diffraction pattern, Cu Kα X-rays. Input: a cell relaxed with GGA-PBE.
Lines closer than 0.1° are merged.

Top 10 peaks for 10° ≤ 2θ ≤ 90°, by angle:
two_theta  intensity  h k l
12.57  100  1 1 0
21.85  33  3 0 0
23.69  45  1 1 1
26.34  29  3 1 0
27.90  90  2 1 1
32.45  67  2 2 1
38.34  28  3 3 0
39.47  66  4 1 1
40.65  29  0 0 2
43.61  35  3 3 1

Crystal structure
```
data_Rb5Tm3Br12
_chemical_formula_sum 'Rb5 Tm3 Br12'
_cell_length_a 14.0877
_cell_length_b 14.0877
_cell_length_c 4.4392
_cell_angle_alpha 90.00
_cell_angle_beta 90.00
_cell_angle_gamma 120.00
_symmetry_space_group_name_H-M 'P -6 2 m'
_symmetry_Int_Tables_number 189
_symmetry_space_group_name_Hall 'P -6 -2'
loop_
_atom_site_label
_atom_site_type_symbol
_atom_site_fract_x
_atom_site_fract_y
_atom_site_fract_z
Rb1 Rb 0.0000 0.7172 0.0000
Rb2 Rb 0.3333 0.6667 0.0000
Tm1 Tm 0.0000 0.3251 0.5000
Br1 Br 0.0000 0.1926 0.0000
Br2 Br 0.0000 0.4551 0.0000
Br3 Br 0.2110 0.7707 0.5000
```

=====

# RbVBr3
Calculated powder X-ray diffraction pattern, Cu Kα X-rays. Input: a cell relaxed with GGA-PBE.
Lines closer than 0.1° are merged.

Top 10 peaks for 10° ≤ 2θ ≤ 90°, by angle:
two_theta  intensity  h k l
13.55  18  1 1 0
27.23  31  0 0 2
30.56  100  2 2 1
38.91  26  2 2 2
48.23  23  6 0 0
50.21  20  2 2 3
56.25  16  6 0 2
58.18  15  4 4 1
77.07  8  6 0 4
78.85  12  8 2 1

Crystal structure
```
data_RbVBr3
_chemical_formula_sum 'Rb6 V6 Br18'
_cell_length_a 13.0723
_cell_length_b 13.0723
_cell_length_c 6.5578
_cell_angle_alpha 90.00
_cell_angle_beta 90.00
_cell_angle_gamma 120.00
_symmetry_space_group_name_H-M 'P 63 c m'
_symmetry_Int_Tables_number 185
_symmetry_space_group_name_Hall 'P 6c -2'
loop_
_atom_site_label
_atom_site_type_symbol
_atom_site_fract_x
_atom_site_fract_y
_atom_site_fract_z
Rb1 Rb 0.0000 0.3320 0.0000
V1 V 0.0000 0.0000 0.2345
V2 V 0.3333 0.6667 0.2903
Br1 Br 0.0000 0.1592 0.4837
Br2 Br 0.1739 0.5081 0.5410
```

=====

# Rb3V2Br9
Calculated powder X-ray diffraction pattern, Cu Kα X-rays. Input: a cell relaxed with GGA-PBE.
Lines closer than 0.1° are merged.

Top 10 peaks for 10° ≤ 2θ ≤ 90°, by angle:
two_theta  intensity  h k l
14.27  32  1 0 1
27.55  20  2 0 1
28.45  48  0 0 6
28.77  82  2 0 2
30.71  100  2 0 3
33.25  73  2 0 4
36.28  21  2 0 5
47.52  20  2 0 8
47.94  51  2 2 0
56.69  38  2 2 6

Crystal structure
```
data_Rb3V2Br9
_chemical_formula_sum 'Rb6 V4 Br18'
_cell_length_a 7.5903
_cell_length_b 7.5903
_cell_length_c 18.8238
_cell_angle_alpha 90.00
_cell_angle_beta 90.00
_cell_angle_gamma 120.00
_symmetry_space_group_name_H-M 'P 63/m m c'
_symmetry_Int_Tables_number 194
_symmetry_space_group_name_Hall '-P 6c 2c'
loop_
_atom_site_label
_atom_site_type_symbol
_atom_site_fract_x
_atom_site_fract_y
_atom_site_fract_z
Rb1 Rb 0.0000 0.0000 0.2500
Rb2 Rb 0.3333 0.6667 0.0699
V1 V 0.3333 0.6667 0.6631
Br1 Br 0.0224 0.5112 0.7500
Br2 Br 0.1749 0.3498 0.5907
```

=====

# RbVBr3
Calculated powder X-ray diffraction pattern, Cu Kα X-rays. Input: a cell relaxed with GGA-PBE.
Lines closer than 0.1° are merged.

Top 10 peaks for 10° ≤ 2θ ≤ 90°, by angle:
two_theta  intensity  h k l
13.54  17  1 0 0
27.37  21  0 0 2
30.59  100  2 0 1
39.03  28  2 0 2
48.20  23  2 2 0
50.44  23  2 0 3
56.32  17  2 2 2
58.17  15  4 0 1
77.37  11  2 2 4
78.82  13  4 2 1

Crystal structure
```
data_RbVBr3
_chemical_formula_sum 'Rb2 V2 Br6'
_cell_length_a 7.5519
_cell_length_b 7.5519
_cell_length_c 6.5162
_cell_angle_alpha 90.00
_cell_angle_beta 90.00
_cell_angle_gamma 120.00
_symmetry_space_group_name_H-M 'P 63/m m c'
_symmetry_Int_Tables_number 194
_symmetry_space_group_name_Hall '-P 6c 2c'
loop_
_atom_site_label
_atom_site_type_symbol
_atom_site_fract_x
_atom_site_fract_y
_atom_site_fract_z
Rb1 Rb 0.3333 0.6667 0.2500
V1 V 0.0000 0.0000 0.0000
Br1 Br 0.1594 0.3189 0.7500
```